This entry pairs a crystal structure of Na3CrSiCO7 with its theoretical X-ray powder pattern. Radiation: Cu Kα. Structure: DFT lattice parameters and positions (PBE+U).

Principal peaks in the range 2θ from 10° to 80°, most intense first:
- 33.6°, rel. 100.0
- 34.0°, rel. 97.0
- 26.8°, rel. 87.7
- 33.2°, rel. 45.9
- 49.2°, rel. 42.1
- 19.9°, rel. 39.8

Structure:
```
Na3CrSiCO7
1.0
5.2772 0.0000 0.0000
0.0000 6.6480 0.0000
-0.3572 0.0000 8.9064
Na Cr Si C O
6 2 2 2 14
Cartesian
1.1380 1.6620 0.8028
1.1282 3.4386 6.4058
1.1282 6.5335 6.4058
3.7918 0.1146 2.5006
3.7918 3.2094 2.5006
3.7820 4.9860 8.1036
1.0092 4.9860 3.0286
3.9108 1.6620 5.8778
1.3262 1.6620 3.7593
3.5937 4.9860 5.1471
1.5059 4.9860 0.5452
3.4140 1.6620 8.3612
0.2900 4.9860 1.0284
0.4528 1.6620 5.1414
1.0075 0.3564 2.7966
1.0075 2.9676 2.7966
1.3771 4.9860 8.1922
1.9821 4.9860 4.7566
2.4727 4.9860 1.4301
2.4472 1.6620 7.4763
2.9378 1.6620 4.1498
3.5428 1.6620 0.7142
3.9124 3.6805 6.1098
3.9124 6.2916 6.1098
4.4672 4.9860 3.7650
4.6299 1.6620 7.8780
```